Record 1
Theoretical X-ray powder pattern
Compound: NaMg2BiBr8
Radiation: Cu Kα (weighted mean of Kα1 and Kα2)
Structure: a DFT-relaxed cell (GGA-PBE, Alexandria)
No peak broadening, texture or thermal motion is included.

Peak list (8 most intense, 2θ = 10–90°, low angle first)
2θ = 10.69°, I = 21
2θ = 18.82°, I = 23
2θ = 28.77°, I = 100
2θ = 29.51°, I = 41
2θ = 37.57°, I = 33
2θ = 37.67°, I = 17
2θ = 43.77°, I = 19
2θ = 45.49°, I = 35

Cell and atoms:
```
data_NaMg2BiBr8
_symmetry_space_group_name_H-M 'P 1 2/m 1'
_symmetry_Int_Tables_number 10
_cell_length_a 6.488
_cell_length_b 8.273
_cell_length_c 6.826
_cell_angle_alpha 90.00
_cell_angle_beta 90.31
_cell_angle_gamma 90.00
loop_
_symmetry_equiv_pos_as_xyz
'x,y,z'
'-x,-y,-z'
'-x,y,-z'
'x,-y,z'
loop_
_atom_site_label
_atom_site_fract_x
_atom_site_fract_y
_atom_site_fract_z
_atom_site_occupancy
Na1 0.000 0.000 0.000 1
Mg1 0.500 0.236 0.500 1
Bi1 0.000 0.500 0.000 1
Br1 0.249 0.253 0.176 1
Br2 0.277 0.500 0.653 1
Br3 0.281 0.000 0.655 1
```

=====

Record 2
Theoretical X-ray powder pattern
Compound: Mn3BiBr9
Radiation: Cu Kα (weighted mean of Kα1 and Kα2)
Structure: a DFT-relaxed cell (GGA-PBE, Alexandria)
No peak broadening, texture or thermal motion is included.

Peak list (8 most intense, 2θ = 10–90°, low angle first)
2θ = 11.20°, I = 45
2θ = 15.82°, I = 100
2θ = 21.66°, I = 31
2θ = 24.80°, I = 26
2θ = 25.18°, I = 35
2θ = 25.99°, I = 24
2θ = 27.08°, I = 43
2θ = 30.30°, I = 30

Cell and atoms:
```
data_Mn3BiBr9
_symmetry_space_group_name_H-M 'C 1 c 1'
_symmetry_Int_Tables_number 9
_cell_length_a 19.057
_cell_length_b 9.715
_cell_length_c 13.672
_cell_angle_alpha 90.00
_cell_angle_beta 128.80
_cell_angle_gamma 90.00
loop_
_symmetry_equiv_pos_as_xyz
'x,y,z'
'x,-y,z+1/2'
'x+1/2,y+1/2,z'
'x+1/2,-y+1/2,z+1/2'
loop_
_atom_site_label
_atom_site_fract_x
_atom_site_fract_y
_atom_site_fract_z
_atom_site_occupancy
Mn1 0.000 0.066 0.000 1
Mn2 0.094 0.378 0.887 1
Mn3 0.369 0.077 0.545 1
Bi1 0.230 0.274 0.712 1
Br1 0.076 0.129 0.656 1
Br2 0.089 0.450 0.520 1
Br3 0.121 0.149 0.992 1
Br4 0.228 0.418 0.897 1
Br5 0.235 0.184 0.512 1
Br6 0.330 0.022 0.848 1
Br7 0.371 0.480 0.787 1
Br8 0.432 0.126 0.193 1
Br9 0.484 0.265 0.626 1
```

=====

Record 3
Theoretical X-ray powder pattern
Compound: BiBr4N2
Radiation: Cu Kα (weighted mean of Kα1 and Kα2)
Structure: a DFT-relaxed cell (GGA-PBE, Alexandria)
No peak broadening, texture or thermal motion is included.

Peak list (8 most intense, 2θ = 10–90°, low angle first)
2θ = 11.34°, I = 100
2θ = 12.69°, I = 34
2θ = 22.56°, I = 25
2θ = 27.13°, I = 53
2θ = 27.82°, I = 39
2θ = 31.28°, I = 57
2θ = 45.70°, I = 24
2θ = 47.36°, I = 21

Cell and atoms:
```
data_BiBr4N2
_symmetry_space_group_name_H-M 'C 1 2/m 1'
_symmetry_Int_Tables_number 12
_cell_length_a 15.659
_cell_length_b 4.073
_cell_length_c 7.000
_cell_angle_alpha 90.00
_cell_angle_beta 94.67
_cell_angle_gamma 90.00
loop_
_symmetry_equiv_pos_as_xyz
'x,y,z'
'-x,-y,-z'
'-x,y,-z'
'x,-y,z'
'x+1/2,y+1/2,z'
'-x+1/2,-y+1/2,-z'
'-x+1/2,y+1/2,-z'
'x+1/2,-y+1/2,z'
loop_
_atom_site_label
_atom_site_fract_x
_atom_site_fract_y
_atom_site_fract_z
_atom_site_occupancy
Bi1 0.000 0.000 0.000 1
Br1 0.078 0.000 0.631 1
Br2 0.119 0.500 0.148 1
N1 0.198 0.500 0.737 1
```

=====

Record 4
Theoretical X-ray powder pattern
Compound: NaSn2BiBr8
Radiation: Cu Kα (weighted mean of Kα1 and Kα2)
Structure: a DFT-relaxed cell (GGA-PBE, Alexandria)
No peak broadening, texture or thermal motion is included.

Peak list (8 most intense, 2θ = 10–90°, low angle first)
2θ = 17.65°, I = 65
2θ = 18.07°, I = 65
2θ = 24.09°, I = 47
2θ = 26.99°, I = 66
2θ = 27.27°, I = 57
2θ = 35.27°, I = 61
2θ = 35.72°, I = 100
2θ = 42.97°, I = 73

Cell and atoms:
```
data_NaSn2BiBr8
_symmetry_space_group_name_H-M 'P 1 2/m 1'
_symmetry_Int_Tables_number 10
_cell_length_a 6.861
_cell_length_b 8.771
_cell_length_c 7.201
_cell_angle_alpha 90.00
_cell_angle_beta 91.32
_cell_angle_gamma 90.00
loop_
_symmetry_equiv_pos_as_xyz
'x,y,z'
'-x,-y,-z'
'-x,y,-z'
'x,-y,z'
loop_
_atom_site_label
_atom_site_fract_x
_atom_site_fract_y
_atom_site_fract_z
_atom_site_occupancy
Na1 0.000 0.000 0.000 1
Sn1 0.500 0.245 0.500 1
Bi1 0.000 0.500 0.000 1
Br1 0.236 0.256 0.158 1
Br2 0.242 0.500 0.675 1
Br3 0.275 0.000 0.657 1
```